This entry pairs a crystal structure of Re2SeS3 with its theoretical powder diffractogram. Radiation: Cu Kα X-rays. Structure: a structure optimized by DFT (GGA-PBE).
No peak broadening, texture or thermal motion is included.

Atomic structure:
Cell: 6.4438 6.5323 6.8041 Å, 91.75 104.52 118.88°
Sites, in units of the cell vectors:
Re: 0.0129 0.2152 0.0023
Re: 0.4429 0.1895 0.0088
Re: 0.5571 0.8105 0.9912
Re: 0.9871 0.7848 0.9977
Se: 0.2535 0.1202 0.2952
Se: 0.7465 0.8798 0.7048
S: 0.2275 0.8447 0.7601
S: 0.2499 0.6337 0.1817
S: 0.2783 0.3917 0.7941
S: 0.7217 0.6083 0.2059
S: 0.7501 0.3663 0.8183
S: 0.7725 0.1553 0.2399

Top 10 peaks for 15 to 90 degrees two-theta, by angle:
15.75°, rel. 31, hkl 0 1 0; 27.53°, rel. 21, hkl 0 0 2; 31.80°, rel. 29, hkl 0 2 0; 31.94°, rel. 30, hkl 2 0 -1; 32.35°, rel. 38, hkl 2 -2 0; 36.38°, rel. 47, hkl 2 0 -2; 37.03°, rel. 100, hkl 2 -2 1; 39.85°, rel. 20, hkl -2 2 2; 41.82°, rel. 21, hkl 0 0 3; 49.89°, rel. 19, hkl -2 2 3